1.
Starting from a cell relaxed with GGA+U, the powder diffractogram of Li7VGeO8 was simulated for Cu Ka.

Crystal structure
Cell lengths 5.4104, 6.4030, 10.8552 Å; angles 90.00, 90.92, 90.00 degrees
Space group Pm (No. 6)
Unique sites:
1 Li 0.0000 0.0000 0.0000 x1
2 Li 0.0095 0.2524 0.7647 x2
3 Li 0.2691 0.1904 0.5820 x2
4 Li 0.3682 0.2695 0.0779 x2
5 Li 0.3729 0.5000 0.8478 x1
6 Li 0.5259 0.5000 0.3389 x1
7 Li 0.6162 0.2958 0.5961 x2
8 Li 0.8575 0.0000 0.4813 x1
9 Li 0.8883 0.2483 0.2403 x2
10 V 0.3734 0.0000 0.3316 x1
11 V 0.5258 0.0000 0.8243 x1
12 Ge 0.0383 0.5000 0.4905 x1
13 Ge 0.8802 0.5000 0.0026 x1
14 O 0.0016 0.5000 0.8501 x1
15 O 0.0511 0.0000 0.3303 x1
16 O 0.3727 0.5000 0.5093 x1
17 O 0.4072 0.0000 0.9686 x1
18 O 0.4175 0.2218 0.7415 x2
19 O 0.4790 0.0000 0.4921 x1
20 O 0.4863 0.2185 0.2593 x2
21 O 0.5501 0.5000 0.0024 x1
22 O 0.8484 0.0000 0.8252 x1
23 O 0.8975 0.5000 0.3462 x1
24 O 0.9471 0.2689 0.5742 x2
25 O 0.9991 0.2718 0.0766 x2

Principal peaks in the range 2θ from 10° to 90°, in order of rising 2θ:
2θ = 16.34°, I 17, (0 0 2)
2θ = 21.48°, I 100, (0 1 2)
2θ = 23.00°, I 20, (1 0 -2)
2θ = 23.40°, I 15, (1 0 2)
2θ = 32.47°, I 28, (0 2 2)
2θ = 33.05°, I 21, (0 0 4)
2θ = 33.12°, I 20, (2 0 0)
2θ = 58.62°, I 20, (0 2 6)

2.
Starting from a cell relaxed with GGA+U, the powder diffractogram of MnTeMoO6 was simulated for Cu Ka.

Crystal structure
Cell lengths 5.1815, 5.4048, 9.3547 Å; angles 90.00, 90.00, 90.00 degrees
Space group P2_12_12 (No. 18)
Unique sites:
1 Mn 0.0000 0.0000 0.0266 x2
2 Te 0.0000 0.5000 0.2431 x2
3 Mo 0.0000 0.5000 0.6939 x2
4 O 0.1602 0.2940 0.5822 x4
5 O 0.2134 0.6722 0.1087 x4
6 O 0.2453 0.1843 0.2063 x4

Principal peaks in the range 2θ from 10° to 90°, in order of rising 2θ:
2θ = 18.97°, I 30, (0 0 2)
2θ = 23.79°, I 47, (1 1 0)
2θ = 25.65°, I 37, (1 0 2)
2θ = 30.60°, I 100, (1 1 2)
2θ = 33.16°, I 19, (0 2 0)
2θ = 48.69°, I 29, (2 2 0)
2θ = 57.64°, I 17, (1 3 2)
2θ = 59.57°, I 15, (3 1 2)

3.
Starting from a cell relaxed with GGA+U, the powder diffractogram of La3MnO7 was simulated for Cu Ka.

Crystal structure
Cell lengths 5.5516, 5.2951, 10.6043 Å; angles 90.00, 105.13, 90.00 degrees
Space group P2_1 (No. 4)
Unique sites:
1 La 0.0711 0.0000 0.1472 x2
2 La 0.2531 0.9896 0.4987 x2
3 La 0.4031 0.9941 0.8567 x2
4 Mn 0.3511 0.4946 0.6898 x2
5 O 0.0194 0.9767 0.9267 x2
6 O 0.0982 0.2504 0.6811 x2
7 O 0.0975 0.7405 0.6763 x2
8 O 0.3020 0.4945 0.5121 x2
9 O 0.4050 0.7482 0.2946 x2
10 O 0.4088 0.2449 0.2926 x2
11 O 0.4155 0.4939 0.8965 x2

Principal peaks in the range 2θ from 10° to 90°, in order of rising 2θ:
2θ = 23.62°, I 59, (1 1 0)
2θ = 26.11°, I 30, (0 0 3)
2θ = 31.99°, I 100, (1 1 -3)
2θ = 32.25°, I 38, (2 0 -1)
2θ = 33.86°, I 35, (0 2 0)
2θ = 41.96°, I 31, (2 0 2)
2θ = 43.25°, I 29, (0 2 3)
2θ = 47.46°, I 41, (2 2 -1)

4.
Starting from a cell relaxed with GGA+U, the powder diffractogram of MnCdF5 was simulated for Cu Ka.

Crystal structure
Cell lengths 9.1017, 6.4093, 8.0095 Å; angles 90.00, 116.57, 90.00 degrees
Space group C2/c (No. 15)
Unique sites:
1 Mn 0.0000 0.0000 0.0000 x4
2 Cd 0.0000 0.4584 0.2500 x4
3 F 0.0000 0.1060 0.2500 x4
4 F 0.0140 0.2959 0.9636 x8
5 F 0.2277 0.0207 0.6201 x8

Principal peaks in the range 2θ from 10° to 90°, in order of rising 2θ:
2θ = 21.84°, I 89, (2 0 0)
2θ = 26.24°, I 100, (1 1 -2)
2θ = 27.84°, I 36, (0 2 0)
2θ = 34.27°, I 17, (3 1 -2)
2θ = 34.51°, I 15, (1 1 2)
2θ = 44.52°, I 26, (4 0 0)
2θ = 45.29°, I 20, (2 0 -4)
2θ = 48.28°, I 22, (1 3 -2)

5.
Starting from a cell relaxed with GGA+U, the powder diffractogram of ZnNi2O4 was simulated for Cu Ka.

Crystal structure
Cell lengths 5.9275, 5.9593, 8.2669 Å; angles 90.00, 90.00, 90.00 degrees
Space group Imma (No. 74)
Unique sites:
1 Zn 0.2500 0.2500 0.2500 x4
2 Ni 0.0000 0.0000 0.0000 x4
3 Ni 0.0000 0.2500 0.6312 x4
4 O 0.0000 0.0070 0.2362 x8
5 O 0.2381 0.2500 0.9980 x8

Principal peaks in the range 2θ from 10° to 90°, in order of rising 2θ:
2θ = 18.39°, I 25, (1 0 1)
2θ = 30.33°, I 47, (1 1 2)
2θ = 35.42°, I 88, (1 2 1)
2θ = 35.53°, I 100, (2 1 1)
2θ = 35.92°, I 89, (0 1 3)
2θ = 43.05°, I 37, (2 2 0)
2θ = 56.90°, I 26, (2 3 1)
2θ = 63.09°, I 79, (2 2 4)

6.
Starting from a cell relaxed with GGA+U, the powder diffractogram of Li4V2Si3O10 was simulated for Cu Ka.

Crystal structure
Cell lengths 9.1776, 5.6000, 17.0702 Å; angles 90.00, 99.46, 90.00 degrees
Space group C2/c (No. 15)
Unique sites:
1 Li 0.1864 0.1063 0.2312 x8
2 Li 0.2475 0.4230 0.4479 x8
3 V 0.0995 0.3967 0.0835 x8
4 Si 0.0000 0.3888 0.7500 x4
5 Si 0.0620 0.0981 0.9005 x8
6 O 0.0656 0.3377 0.9562 x8
7 O 0.0979 0.1980 0.8128 x8
8 O 0.1013 0.0282 0.1150 x8
9 O 0.1195 0.4568 0.2115 x8
10 O 0.1964 0.0855 0.4333 x8

Principal peaks in the range 2θ from 10° to 90°, in order of rising 2θ:
2θ = 10.51°, I 40, (0 0 2)
2θ = 18.92°, I 79, (1 1 -1)
2θ = 19.61°, I 71, (2 0 0)
2θ = 20.63°, I 34, (1 1 -2)
2θ = 22.23°, I 52, (1 1 2)
2θ = 27.03°, I 65, (1 1 -4)
2θ = 31.90°, I 94, (0 0 6)
2θ = 33.38°, I 100, (3 1 -1)

7.
Starting from a cell relaxed with GGA+U, the powder diffractogram of SrLaTiFeO6 was simulated for Cu Ka.

Crystal structure
Cell lengths 6.1769, 6.1890, 17.7264 Å; angles 90.00, 90.00, 90.00 degrees
Space group Fmm2 (No. 42)
Unique sites:
1 Sr 0.0000 0.0000 0.0000 x4
2 La 0.0000 0.0000 0.6147 x4
3 Ti 0.0000 0.0000 0.3076 x4
4 Fe 0.0000 0.0000 0.8097 x4
5 O 0.0000 0.2432 0.3675 x8
6 O 0.2480 0.0000 0.2489 x8
7 O 0.2500 0.2500 0.0639 x8

Principal peaks in the range 2θ from 10° to 90°, in order of rising 2θ:
2θ = 20.04°, I 45, (0 0 4)
2θ = 20.93°, I 44, (1 1 1)
2θ = 25.34°, I 100, (1 1 3)
2θ = 28.88°, I 89, (2 0 0)
2θ = 32.52°, I 78, (1 1 5)
2θ = 41.30°, I 34, (2 2 0)
2θ = 42.31°, I 50, (0 2 6)
2θ = 53.52°, I 38, (3 1 5)

8.
Starting from a cell relaxed with GGA+U, the powder diffractogram of Li6MgNi7O16 was simulated for Cu Ka.

Crystal structure
Cell lengths 4.9135, 5.0809, 11.2253 Å; angles 80.28, 85.52, 79.65 degrees
Space group P-1 (No. 2)
Unique sites:
1 Li 0.2394 0.1826 0.3053 x2
2 Li 0.2465 0.4401 0.0599 x2
3 Li 0.2480 0.9230 0.5705 x2
4 Mg 0.0000 0.5000 0.5000 x1
5 Ni 0.0000 0.0000 0.0000 x1
6 Ni 0.0091 0.2563 0.7486 x2
7 Ni 0.4934 0.6225 0.3760 x2
8 Ni 0.4992 0.8669 0.1246 x2
9 O 0.1297 0.0490 0.1496 x2
10 O 0.1353 0.3039 0.9153 x2
11 O 0.1428 0.8352 0.4042 x2
12 O 0.1439 0.5610 0.6566 x2
13 O 0.3496 0.5430 0.2368 x2
14 O 0.3619 0.7981 0.9832 x2
15 O 0.3827 0.0768 0.7215 x2
16 O 0.3930 0.3071 0.4748 x2

Principal peaks in the range 2θ from 10° to 90°, in order of rising 2θ:
2θ = 18.50°, I 100, (0 1 1)
2θ = 36.66°, I 25, (1 1 -3)
2θ = 37.25°, I 11, (2 0 0)
2θ = 38.55°, I 8, (1 -1 3)
2θ = 44.02°, I 22, (1 1 5)
2θ = 44.21°, I 21, (1 2 -2)
2θ = 45.08°, I 20, (-2 1 1)
2θ = 64.78°, I 6, (0 1 -7)